# 1
For ZrSe3, a PBE-relaxed structure gives the computed XRD peak list in this record (Cu Kα).
Kinematic intensities with the Lorentz-polarization factor, no thermal factor.

Main lines, by angle (2θ from 10° to 80°):
| Position (°2θ) | d/Å | I_rel |
| --- | --- | --- |
| 17.56 | 5.050 | 34 |
| 29.50 | 3.028 | 100 |
| 35.25 | 2.546 | 26 |
| 35.46 | 2.532 | 26 |
| 35.73 | 2.513 | 27 |
| 37.99 | 2.369 | 18 |
| 40.87 | 2.208 | 40 |
| 40.97 | 2.203 | 18 |
| 42.79 | 2.113 | 16 |
| 48.04 | 1.894 | 24 |

Cell and atoms:
a b c (Å): 5.485 3.788 10.156
angles (deg): 90.00 97.30 90.00
Positions (direct):
Zr 0.215 0.250 0.352
Zr 0.785 0.750 0.648
Se 0.041 0.250 0.810
Se 0.262 0.750 0.551
Se 0.393 0.750 0.189
Se 0.607 0.250 0.811
Se 0.738 0.250 0.449
Se 0.959 0.750 0.190


# 2
For Tb5Ge3C, a PBE-relaxed structure gives the computed XRD peak list in this record (Cu Kα).
Kinematic intensities with the Lorentz-polarization factor, no thermal factor.

Main lines, by angle (2θ from 10° to 80°):
| Position (°2θ) | d/Å | I_rel |
| --- | --- | --- |
| 30.04 | 2.974 | 35 |
| 32.00 | 2.797 | 42 |
| 34.69 | 2.586 | 67 |
| 34.92 | 2.569 | 100 |
| 36.42 | 2.467 | 20 |
| 51.18 | 1.785 | 20 |
| 53.51 | 1.712 | 30 |
| 57.02 | 1.615 | 19 |
| 57.31 | 1.608 | 17 |
| 69.83 | 1.347 | 19 |

Cell and atoms:
a b c (Å): 8.546 8.546 6.496
angles (deg): 90.00 90.00 120.00
Positions (direct):
Tb 0.000 0.222 0.250
Tb 0.000 0.778 0.750
Tb 0.222 0.000 0.250
Tb 0.222 0.222 0.750
Tb 0.333 0.667 0.000
Tb 0.333 0.667 0.500
Tb 0.667 0.333 0.000
Tb 0.667 0.333 0.500
Tb 0.778 0.000 0.750
Tb 0.778 0.778 0.250
Ge 0.000 0.408 0.750
Ge 0.000 0.592 0.250
Ge 0.408 0.000 0.750
Ge 0.408 0.408 0.250
Ge 0.592 0.000 0.250
Ge 0.592 0.592 0.750
C 0.000 0.000 0.000
C 0.000 0.000 0.500


# 3
For Mn3CrAs4, a PBE-relaxed structure gives the computed XRD peak list in this record (Cu Kα).
Kinematic intensities with the Lorentz-polarization factor, no thermal factor.

Main lines, by angle (2θ from 10° to 80°):
| Position (°2θ) | d/Å | I_rel |
| --- | --- | --- |
| 33.63 | 2.665 | 25 |
| 33.76 | 2.655 | 25 |
| 34.13 | 2.627 | 100 |
| 43.00 | 2.104 | 20 |
| 43.10 | 2.099 | 20 |
| 44.15 | 2.051 | 17 |
| 44.55 | 2.034 | 38 |
| 44.66 | 2.029 | 38 |
| 52.58 | 1.741 | 38 |
| 53.49 | 1.713 | 28 |

Cell and atoms:
a b c (Å): 5.549 3.426 6.063
angles (deg): 90.00 90.25 90.00
Positions (direct):
Mn 0.000 0.000 0.000
Mn 0.007 0.500 0.613
Mn 0.501 0.000 0.112
Cr 0.507 0.500 0.501
As 0.203 0.500 0.225
As 0.304 0.000 0.726
As 0.703 0.500 0.887
As 0.807 0.000 0.385


# 4
For Ru, a PBE-relaxed structure gives the computed XRD peak list in this record (Cu Kα).
Kinematic intensities with the Lorentz-polarization factor, no thermal factor.

Main lines, by angle (2θ from 10° to 80°):
| Position (°2θ) | d/Å | I_rel |
| --- | --- | --- |
| 40.86 | 2.209 | 100 |
| 47.54 | 1.913 | 48 |
| 69.50 | 1.353 | 30 |

Cell and atoms:
a b c (Å): 2.705 2.705 2.705
angles (deg): 60.00 60.00 60.00
Positions (direct):
Ru 0.000 0.000 0.000